Computed PXRD pattern of CaCrMoO6 for a wavelength of 1.5418 Å, from DFT lattice parameters and positions (GGA+U).
Peak positions follow from Bragg's law for the DFT cell and can differ from measured ones.

Peak list (10 most intense, 2θ = 10–80°, sorted by position)
18.83 deg, I = 106
20.74 deg, I = 292
26.22 deg, I = 1000
34.10 deg, I = 663
37.41 deg, I = 117
39.04 deg, I = 105
51.51 deg, I = 599
53.95 deg, I = 188
60.94 deg, I = 122
65.41 deg, I = 315

Cell and atoms:
a b c (Å): 4.807 4.807 9.423
angles (deg): 90.00 90.00 90.00
Fractional positions:
Ca 0.000 0.000 0.000
Ca 0.500 0.500 0.500
Cr 0.000 0.000 0.331
Cr 0.500 0.500 0.831
Mo 0.000 0.000 0.662
Mo 0.500 0.500 0.162
O 0.173 0.173 0.497
O 0.220 0.220 0.804
O 0.222 0.222 0.188
O 0.278 0.722 0.688
O 0.280 0.720 0.304
O 0.327 0.673 0.997
O 0.673 0.327 0.997
O 0.720 0.280 0.304
O 0.722 0.278 0.688
O 0.778 0.778 0.188
O 0.780 0.780 0.804
O 0.827 0.827 0.497